Simulated powder X-ray diffraction pattern
Compound: Ga2Sb2Au5
Radiation: copper Kα
Structure: a DFT-relaxed cell (GGA-PBE, Alexandria)
Kinematic intensities with the Lorentz-polarization factor, no thermal factor.

Principal peaks in the range 2θ = 10–80°, sorted by position:
d [Å], 2θ (°), I_rel
3.410, 26.13, 64
3.228, 27.64, 74
2.844, 31.45, 72
2.728, 32.83, 100
2.601, 34.48, 92
2.366, 38.03, 75
2.255, 39.98, 74
2.245, 40.17, 77
2.151, 42.01, 86
2.040, 44.41, 89

Cell and atoms:
```
Ga2Sb2Au5
1.0
4.1268 0.0000 0.0000
-1.0275 6.7878 0.0000
-2.0547 -0.5675 6.8199
Ga Sb Au
2 2 5
direct
0.0134 0.0327 0.2560 Ga
0.9866 0.9673 0.7440 Ga
0.3309 0.4181 0.7052 Sb
0.6691 0.5819 0.2948 Sb
0.0000 0.5000 0.0000 Au
0.3244 0.7995 0.5258 Au
0.4266 0.1889 0.0519 Au
0.5734 0.8111 0.9481 Au
0.6756 0.2005 0.4742 Au
```



Simulated powder X-ray diffraction pattern
Compound: Ba4C3
Radiation: copper Kα
Structure: a DFT-relaxed cell (GGA-PBE, Alexandria)
Kinematic intensities with the Lorentz-polarization factor, no thermal factor.

Principal peaks in the range 2θ = 10–80°, sorted by position:
d [Å], 2θ (°), I_rel
3.463, 25.72, 100
2.999, 29.79, 67
2.121, 42.63, 49
1.809, 50.46, 48
1.732, 52.87, 17
1.500, 61.87, 8
1.376, 68.13, 20
1.341, 70.16, 22
1.225, 78.04, 17

Cell and atoms:
```
Ba4C3
1.0
5.9989 0.0000 0.0000
0.0000 5.9989 0.0000
0.0000 0.0000 5.9989
Ba C
4 3
direct
0.0000 0.0000 0.0000 Ba
0.0000 0.5000 0.5000 Ba
0.5000 0.0000 0.5000 Ba
0.5000 0.5000 0.0000 Ba
0.0000 0.0000 0.5000 C
0.0000 0.5000 0.0000 C
0.5000 0.0000 0.0000 C
```



Simulated powder X-ray diffraction pattern
Compound: LiTlCdHg2
Radiation: copper Kα
Structure: a DFT-relaxed cell (GGA-PBE, Alexandria)
Kinematic intensities with the Lorentz-polarization factor, no thermal factor.

Principal peaks in the range 2θ = 10–80°, sorted by position:
d [Å], 2θ (°), I_rel
6.089, 14.55, 42
3.527, 25.25, 86
2.498, 35.95, 100
2.490, 36.07, 91
2.311, 38.97, 23
2.039, 44.44, 20
1.838, 49.61, 21
1.764, 51.84, 33
1.579, 58.43, 18
1.441, 64.68, 52

Cell and atoms:
```
LiTlCdHg2
1.0
4.9960 0.0000 0.0000
-2.4980 4.3267 0.0000
0.0000 0.0000 6.0893
Li Tl Cd Hg
1 1 1 2
direct
0.0000 0.0000 0.0000 Li
0.6667 0.3333 0.3194 Tl
0.3333 0.6667 0.6584 Cd
0.0000 0.0000 0.5355 Hg
0.3333 0.6667 0.1306 Hg
```



Simulated powder X-ray diffraction pattern
Compound: SiGeRh3
Radiation: copper Kα
Structure: a DFT-relaxed cell (GGA-PBE, Alexandria)
Kinematic intensities with the Lorentz-polarization factor, no thermal factor.

Principal peaks in the range 2θ = 10–80°, sorted by position:
d [Å], 2θ (°), I_rel
2.915, 30.67, 24
2.872, 31.14, 36
2.605, 34.43, 16
2.278, 39.56, 39
2.190, 41.22, 17
2.104, 42.98, 100
2.075, 43.62, 38
2.019, 44.90, 29
1.937, 46.90, 55
1.321, 71.39, 16

Cell and atoms:
```
SiGeRh3
1.0
5.1627 -4.3804 0.0000
5.1627 4.3804 0.0000
0.0000 0.0000 6.4806
Si Ge Rh
4 4 12
direct
0.1802 0.8198 0.8927 Si
0.3198 0.6802 0.3927 Si
0.6802 0.3198 0.6073 Si
0.8198 0.1802 0.1073 Si
0.1583 0.3417 0.7500 Ge
0.3417 0.1583 0.2500 Ge
0.6583 0.8417 0.7500 Ge
0.8417 0.6583 0.2500 Ge
0.0128 0.6942 0.5960 Rh
0.0763 0.9237 0.2233 Rh
0.1942 0.5128 0.0960 Rh
0.3058 0.9872 0.5960 Rh
0.4237 0.5763 0.7233 Rh
0.4872 0.8058 0.0960 Rh
0.5128 0.1942 0.9040 Rh
0.5763 0.4237 0.2767 Rh
0.6942 0.0128 0.4040 Rh
0.8058 0.4872 0.9040 Rh
0.9237 0.0763 0.7767 Rh
0.9872 0.3058 0.4040 Rh
```



Simulated powder X-ray diffraction pattern
Compound: BC2
Radiation: copper Kα
Structure: a DFT-relaxed cell (GGA-PBE, Alexandria)
Kinematic intensities with the Lorentz-polarization factor, no thermal factor.

Principal peaks in the range 2θ = 10–80°, sorted by position:
d [Å], 2θ (°), I_rel
3.977, 22.35, 3
2.983, 29.95, 2
2.471, 36.36, 1
2.386, 37.69, 1
2.326, 38.71, 1
2.132, 42.39, 100
1.928, 47.15, 1
1.329, 70.92, 27
1.263, 75.24, 12

Cell and atoms:
```
BC2
1.0
2.5259 0.0000 0.0000
0.0000 2.5259 0.0000
0.0000 0.0000 11.9324
B C
4 8
direct
0.0000 0.0000 0.1615 B
0.0000 0.0000 0.8385 B
0.0000 0.5000 0.5852 B
0.5000 0.0000 0.4148 B
0.0000 0.0000 0.5000 C
0.0000 0.5000 0.2527 C
0.0000 0.5000 0.9257 C
0.5000 0.0000 0.0743 C
0.5000 0.0000 0.7473 C
0.5000 0.5000 0.0000 C
0.5000 0.5000 0.3207 C
0.5000 0.5000 0.6793 C
```



Simulated powder X-ray diffraction pattern
Compound: Li2Ce3Sb4Pd2
Radiation: copper Kα
Structure: a DFT-relaxed cell (GGA-PBE, Alexandria)
Kinematic intensities with the Lorentz-polarization factor, no thermal factor.

Principal peaks in the range 2θ = 10–80°, sorted by position:
d [Å], 2θ (°), I_rel
7.521, 11.77, 19
3.875, 22.95, 14
3.539, 25.17, 25
3.132, 28.50, 27
2.743, 32.65, 100
2.315, 38.90, 76
2.126, 42.53, 18
1.769, 51.66, 27
1.460, 63.77, 16
1.406, 66.51, 25

Cell and atoms:
```
Li2Ce3Sb4Pd2
1.0
4.6307 0.0000 0.0000
-2.3153 4.0103 0.0000
0.0000 0.0000 15.0411
Li Ce Sb Pd
2 3 4 2
direct
0.3333 0.6667 0.0638 Li
0.6667 0.3333 0.9362 Li
0.0000 0.0000 0.2364 Ce
0.0000 0.0000 0.5000 Ce
0.0000 0.0000 0.7636 Ce
0.3333 0.6667 0.3772 Sb
0.3333 0.6667 0.8711 Sb
0.6667 0.3333 0.1289 Sb
0.6667 0.3333 0.6228 Sb
0.3333 0.6667 0.6623 Pd
0.6667 0.3333 0.3377 Pd
```



Simulated powder X-ray diffraction pattern
Compound: K2BiCl5
Radiation: copper Kα
Structure: a DFT-relaxed cell (GGA-PBE, Alexandria)
Kinematic intensities with the Lorentz-polarization factor, no thermal factor.

Principal peaks in the range 2θ = 10–80°, sorted by position:
d [Å], 2θ (°), I_rel
6.912, 12.81, 100
6.454, 13.72, 55
4.401, 20.18, 38
3.809, 23.36, 36
3.717, 23.94, 58
3.640, 24.45, 31
2.720, 32.93, 35
2.605, 34.43, 47
2.416, 37.21, 35
2.150, 42.02, 36

Cell and atoms:
```
K2BiCl5
1.0
12.9086 0.0000 0.0000
0.0000 8.8161 0.0000
0.0000 0.0000 8.1836
K Bi Cl
8 4 20
direct
0.1699 0.0047 0.0604 K
0.1699 0.4953 0.0604 K
0.3301 0.5047 0.5604 K
0.3301 0.9953 0.5604 K
0.6699 0.0047 0.4396 K
0.6699 0.4953 0.4396 K
0.8301 0.5047 0.9396 K
0.8301 0.9953 0.9396 K
0.0036 0.2500 0.5692 Bi
0.4964 0.7500 0.0692 Bi
0.5036 0.2500 0.9308 Bi
0.9964 0.7500 0.4308 Bi
0.0117 0.2500 0.9165 Cl
0.0714 0.5463 0.6679 Cl
0.0714 0.9537 0.6679 Cl
0.1829 0.2500 0.3833 Cl
0.2018 0.7500 0.3442 Cl
0.2982 0.2500 0.8442 Cl
0.3171 0.7500 0.8833 Cl
0.4286 0.0463 0.1679 Cl
0.4286 0.4537 0.1679 Cl
0.4883 0.7500 0.4165 Cl
0.5117 0.2500 0.5835 Cl
0.5714 0.5463 0.8321 Cl
0.5714 0.9537 0.8321 Cl
0.6829 0.2500 0.1167 Cl
0.7018 0.7500 0.1558 Cl
0.7982 0.2500 0.6558 Cl
0.8171 0.7500 0.6167 Cl
0.9286 0.0463 0.3321 Cl
0.9286 0.4537 0.3321 Cl
0.9883 0.7500 0.0835 Cl
```



Simulated powder X-ray diffraction pattern
Compound: AgAs2Cl6
Radiation: copper Kα
Structure: a DFT-relaxed cell (GGA-PBE, Alexandria)
Kinematic intensities with the Lorentz-polarization factor, no thermal factor.

Principal peaks in the range 2θ = 10–80°, sorted by position:
d [Å], 2θ (°), I_rel
7.229, 12.24, 62
5.570, 15.91, 100
5.001, 17.74, 74
4.659, 19.05, 80
3.989, 22.29, 48
3.196, 27.92, 60
2.971, 30.08, 51
2.666, 33.62, 27
2.485, 36.14, 30
2.182, 41.38, 27

Cell and atoms:
```
AgAs2Cl6
1.0
5.7258 -5.5696 0.0000
5.7258 5.5696 0.0000
-5.1829 0.0000 9.3171
Ag As Cl
2 4 12
direct
0.0949 0.9051 0.7500 Ag
0.9051 0.0949 0.2500 Ag
0.3109 0.4017 0.8018 As
0.4017 0.3109 0.3018 As
0.5983 0.6891 0.6982 As
0.6891 0.5983 0.1982 As
0.0595 0.1889 0.6770 Cl
0.1446 0.6310 0.8477 Cl
0.1889 0.0595 0.1770 Cl
0.3517 0.3821 0.5528 Cl
0.3690 0.8554 0.6523 Cl
0.3821 0.3517 0.0528 Cl
0.6179 0.6483 0.9472 Cl
0.6310 0.1446 0.3477 Cl
0.6483 0.6179 0.4472 Cl
0.8111 0.9405 0.8230 Cl
0.8554 0.3690 0.1523 Cl
0.9405 0.8111 0.3230 Cl
```



Simulated powder X-ray diffraction pattern
Compound: YPuIr2
Radiation: copper Kα
Structure: a DFT-relaxed cell (GGA-PBE, Alexandria)
Kinematic intensities with the Lorentz-polarization factor, no thermal factor.

Principal peaks in the range 2θ = 10–80°, sorted by position:
d [Å], 2θ (°), I_rel
2.729, 32.82, 100
2.720, 32.93, 33
2.696, 33.23, 41
2.441, 36.82, 18
2.434, 36.93, 22
2.220, 40.64, 73
2.211, 40.80, 24
1.993, 45.52, 66
1.605, 57.43, 18
1.250, 76.12, 20

Cell and atoms:
```
YPuIr2
1.0
5.6270 0.0000 0.0000
0.0000 5.6451 0.0000
-2.8556 0.0000 10.7853
Y Pu Ir
4 4 8
direct
0.1975 0.1234 0.1466 Y
0.1975 0.8766 0.6466 Y
0.8025 0.1234 0.3534 Y
0.8025 0.8766 0.8534 Y
0.3029 0.3769 0.8581 Pu
0.3029 0.6231 0.3581 Pu
0.6971 0.3769 0.6419 Pu
0.6971 0.6231 0.1419 Pu
0.1689 0.3779 0.5927 Ir
0.1689 0.6221 0.0927 Ir
0.3329 0.1295 0.4175 Ir
0.3329 0.8705 0.9175 Ir
0.6671 0.1295 0.0825 Ir
0.6671 0.8705 0.5825 Ir
0.8311 0.3779 0.9073 Ir
0.8311 0.6221 0.4073 Ir
```



Simulated powder X-ray diffraction pattern
Compound: Pa5Co2Pt5
Radiation: copper Kα
Structure: a DFT-relaxed cell (GGA-PBE, Alexandria)
Kinematic intensities with the Lorentz-polarization factor, no thermal factor.

Principal peaks in the range 2θ = 10–80°, sorted by position:
d [Å], 2θ (°), I_rel
3.031, 29.47, 71
2.649, 33.84, 82
2.638, 33.98, 97
2.471, 36.36, 39
2.464, 36.47, 60
2.437, 36.88, 79
2.253, 40.02, 100
1.884, 48.31, 52
1.786, 51.14, 33
1.535, 60.28, 33

Cell and atoms:
```
Pa5Co2Pt5
1.0
7.9024 -1.8841 0.0000
7.9024 1.8841 0.0000
-7.4111 0.0000 8.2591
Pa Co Pt
5 2 5
direct
0.0000 0.0000 0.0000 Pa
0.1056 0.1056 0.3980 Pa
0.1991 0.1991 0.8133 Pa
0.8009 0.8009 0.1867 Pa
0.8944 0.8944 0.6020 Pa
0.3908 0.3908 0.7687 Co
0.6092 0.6092 0.2313 Co
0.2662 0.2662 0.3389 Pt
0.4069 0.4069 0.1339 Pt
0.5000 0.5000 0.5000 Pt
0.5931 0.5931 0.8661 Pt
0.7338 0.7338 0.6611 Pt
```



Simulated powder X-ray diffraction pattern
Compound: Zr7Bi2IrN2
Radiation: copper Kα
Structure: a DFT-relaxed cell (GGA-PBE, Alexandria)
Kinematic intensities with the Lorentz-polarization factor, no thermal factor.

Principal peaks in the range 2θ = 10–80°, sorted by position:
d [Å], 2θ (°), I_rel
3.184, 28.03, 44
2.788, 32.10, 28
2.500, 35.92, 62
2.479, 36.23, 100
2.462, 36.50, 34
2.373, 37.91, 30
2.251, 40.05, 98
1.624, 56.67, 27
1.592, 57.94, 31
1.345, 69.92, 33

Cell and atoms:
```
Zr7Bi2IrN2
1.0
3.1855 -3.1822 0.0000
3.1855 3.1822 0.0000
-2.9979 0.0000 11.8673
Zr Bi Ir N
7 2 1 2
direct
0.0000 0.0000 0.0000 Zr
0.0708 0.5728 0.1701 Zr
0.1509 0.1509 0.3716 Zr
0.4272 0.9292 0.8299 Zr
0.5728 0.0708 0.1701 Zr
0.8491 0.8491 0.6284 Zr
0.9292 0.4272 0.8299 Zr
0.3417 0.3417 0.6295 Bi
0.6583 0.6583 0.3705 Bi
0.5000 0.5000 0.0000 Ir
0.0830 0.0830 0.1880 N
0.9170 0.9170 0.8120 N
```



Simulated powder X-ray diffraction pattern
Compound: NaCu12Si7
Radiation: copper Kα
Structure: a DFT-relaxed cell (GGA-PBE, Alexandria)
Kinematic intensities with the Lorentz-polarization factor, no thermal factor.

Principal peaks in the range 2θ = 10–80°, sorted by position:
d [Å], 2θ (°), I_rel
6.174, 14.35, 39
3.395, 26.25, 35
2.680, 33.44, 100
2.458, 36.55, 43
2.284, 39.46, 57
2.152, 41.99, 80
2.085, 43.41, 64
2.058, 44.00, 66
2.032, 44.59, 53
1.930, 47.08, 52

Cell and atoms:
```
NaCu12Si7
1.0
6.1739 3.5645 2.0846
-6.1739 3.5645 2.0846
0.0000 -7.1290 2.0846
Na Cu Si
1 12 7
direct
0.0000 0.0000 0.0000 Na
0.0000 0.2601 0.7399 Cu
0.0000 0.7399 0.2601 Cu
0.0918 0.4209 0.4209 Cu
0.2601 0.0000 0.7399 Cu
0.2601 0.7399 0.0000 Cu
0.4209 0.0918 0.4209 Cu
0.4209 0.4209 0.0918 Cu
0.5791 0.5791 0.9082 Cu
0.5791 0.9082 0.5791 Cu
0.7399 0.0000 0.2601 Cu
0.7399 0.2601 0.0000 Cu
0.9082 0.5791 0.5791 Cu
0.1800 0.1800 0.5296 Si
0.1800 0.5296 0.1800 Si
0.4704 0.8200 0.8200 Si
0.5000 0.5000 0.5000 Si
0.5296 0.1800 0.1800 Si
0.8200 0.4704 0.8200 Si
0.8200 0.8200 0.4704 Si
```